No. 1
Structure and calculated powder diffractogram of HoZrAl (a GGA-PBE-relaxed structure; Cu Kα (weighted mean of Kα1 and Kα2)).
Intensities are scaled so that the largest is 100.

The 10 most intense peaks (2θ from 10° to 90°), in order of rising 2θ:
2θ (°), I (rel.)
13.51, 24.0
27.21, 16.5
28.23, 36.4
34.34, 100.0
39.11, 36.2
41.33, 13.3
48.30, 13.9
56.51, 12.3
58.20, 19.3
67.82, 27.2

Structure:
```
HoZrAl
1.0
-1.6286 1.6286 6.5540
1.6286 -1.6286 6.5540
1.6286 1.6286 -6.5540
Ho Zr Al
1 1 1
Direct
0.0000 0.0000 0.0000
0.3113 0.3113 0.0000
0.6658 0.6658 0.0000
```


No. 2
Structure and calculated powder diffractogram of Cd3In4Hg (a GGA-PBE-relaxed structure; Cu Kα (weighted mean of Kα1 and Kα2)).
Intensities are scaled so that the largest is 100.

The 10 most intense peaks (2θ from 10° to 90°), in order of rising 2θ:
2θ (°), I (rel.)
31.55, 48.9
32.92, 94.0
34.64, 100.0
34.91, 85.9
37.27, 41.3
37.79, 44.5
39.72, 28.9
52.17, 35.5
58.13, 36.1
63.10, 27.6

Structure:
```
Cd3In4Hg
1.0
11.1641 -1.7524 0.0000
11.1641 1.7524 0.0000
-1.1890 0.0000 5.2057
Cd In Hg
3 4 1
Direct
0.0000 0.0000 0.0000
0.1234 0.1234 0.7988
0.8766 0.8766 0.2012
0.2524 0.2524 0.2526
0.3782 0.3782 0.7063
0.6218 0.6218 0.2937
0.7476 0.7476 0.7474
0.5000 0.5000 0.5000
```


No. 3
Structure and calculated powder diffractogram of BaAg2Hg (a GGA-PBE-relaxed structure; Cu Kα (weighted mean of Kα1 and Kα2)).
Intensities are scaled so that the largest is 100.

The 10 most intense peaks (2θ from 10° to 90°), in order of rising 2θ:
2θ (°), I (rel.)
15.45, 39.3
21.16, 26.6
29.43, 30.8
31.34, 79.0
33.00, 22.2
36.02, 47.4
36.53, 38.2
37.68, 100.0
37.99, 18.7
65.86, 18.8

Structure:
```
BaAg2Hg
1.0
4.9862 0.0000 0.0000
0.0000 8.3976 0.0000
-2.4862 0.0000 5.7366
Ba Ag Hg
2 4 2
Direct
0.0563 0.2500 0.1126
0.9437 0.7500 0.8874
0.2484 0.5820 0.4967
0.2484 0.9180 0.4967
0.7516 0.0820 0.5033
0.7516 0.4180 0.5033
0.3525 0.2500 0.7060
0.6475 0.7500 0.2940
```


No. 4
Structure and calculated powder diffractogram of TmZn9Fe3 (a GGA-PBE-relaxed structure; Cu Kα (weighted mean of Kα1 and Kα2)).
Intensities are scaled so that the largest is 100.

The 10 most intense peaks (2θ from 10° to 90°), in order of rising 2θ:
2θ (°), I (rel.)
29.10, 26.5
35.37, 45.9
35.56, 34.8
35.85, 39.0
40.79, 35.7
41.02, 44.2
41.37, 100.0
41.50, 86.2
41.61, 96.7
46.60, 27.2

Structure:
```
TmZn9Fe3
1.0
2.5253 -6.1336 0.0000
2.5253 6.1336 0.0000
-2.3898 0.0000 6.2118
Tm Zn Fe
1 9 3
Direct
0.0000 0.0000 0.0000
0.0243 0.6784 0.6630
0.2751 0.4991 0.7788
0.3216 0.9757 0.3370
0.4991 0.2751 0.7788
0.5000 0.5000 0.5000
0.5009 0.7249 0.2212
0.6784 0.0243 0.6630
0.7249 0.5009 0.2212
0.9757 0.3216 0.3370
0.0000 0.0000 0.5000
0.0000 0.5000 0.0000
0.5000 0.0000 0.0000
```


No. 5
Structure and calculated powder diffractogram of Zr4Si2Ni3 (a GGA-PBE-relaxed structure; Cu Kα (weighted mean of Kα1 and Kα2)).
Intensities are scaled so that the largest is 100.

The 10 most intense peaks (2θ from 10° to 90°), in order of rising 2θ:
2θ (°), I (rel.)
19.92, 36.3
27.09, 20.6
29.12, 16.5
34.57, 32.9
35.85, 18.3
37.99, 100.0
39.14, 38.3
42.76, 24.8
46.64, 15.6
47.28, 24.5

Structure:
```
Zr4Si2Ni3
1.0
2.8591 -6.5820 0.0000
2.8591 6.5820 0.0000
0.0000 0.0000 8.4595
Zr Si Ni
8 4 6
Direct
0.1855 0.8145 0.9734
0.2110 0.2890 0.7500
0.2890 0.2110 0.2500
0.3145 0.6855 0.4734
0.6855 0.3145 0.5266
0.7110 0.7890 0.7500
0.7890 0.7110 0.2500
0.8145 0.1855 0.0266
0.1258 0.8742 0.6080
0.3742 0.6258 0.1080
0.6258 0.3742 0.8920
0.8742 0.1258 0.3920
0.0000 0.0000 0.0000
0.0079 0.4921 0.7500
0.4921 0.0079 0.2500
0.5000 0.5000 0.5000
0.5079 0.9921 0.7500
0.9921 0.5079 0.2500
```


No. 6
Structure and calculated powder diffractogram of Er2ZnCd5 (a GGA-PBE-relaxed structure; Cu Kα (weighted mean of Kα1 and Kα2)).
Intensities are scaled so that the largest is 100.

The 10 most intense peaks (2θ from 10° to 90°), in order of rising 2θ:
2θ (°), I (rel.)
24.71, 13.2
29.39, 96.5
35.52, 35.9
37.79, 45.2
38.83, 100.0
49.44, 22.3
55.30, 14.7
64.57, 19.6
69.61, 14.6
70.30, 16.6

Structure:
```
Er2ZnCd5
1.0
2.3193 1.3391 10.8386
-2.3193 1.3391 10.8386
0.0000 -2.6781 10.8386
Er Zn Cd
2 1 5
Direct
0.0900 0.0900 0.0900
0.9100 0.9100 0.9100
0.0000 0.0000 0.0000
0.1969 0.1969 0.1969
0.3625 0.3625 0.3625
0.5000 0.5000 0.5000
0.6375 0.6375 0.6375
0.8031 0.8031 0.8031
```


No. 7
Structure and calculated powder diffractogram of PrAl2ZnAu (a GGA-PBE-relaxed structure; Cu Kα (weighted mean of Kα1 and Kα2)).
Intensities are scaled so that the largest is 100.

The 10 most intense peaks (2θ from 10° to 90°), in order of rising 2θ:
2θ (°), I (rel.)
21.86, 43.4
32.60, 29.6
33.41, 100.0
34.04, 17.8
40.96, 36.2
46.90, 12.4
53.30, 14.9
54.28, 18.9
60.52, 17.3
69.81, 23.6

Structure:
```
PrAl2ZnAu
1.0
-2.2034 2.2034 5.2679
2.2034 -2.2034 5.2679
2.2034 2.2034 -5.2679
Pr Al Zn Au
1 2 1 1
Direct
0.0000 0.0000 0.0000
0.3782 0.3782 0.0000
0.6218 0.6218 0.0000
0.2500 0.7500 0.5000
0.7500 0.2500 0.5000
```


No. 8
Structure and calculated powder diffractogram of NaSnHg2F (a GGA-PBE-relaxed structure; Cu Kα (weighted mean of Kα1 and Kα2)).
Intensities are scaled so that the largest is 100.

The 10 most intense peaks (2θ from 10° to 90°), in order of rising 2θ:
2θ (°), I (rel.)
21.96, 17.0
22.92, 21.9
31.95, 100.0
32.64, 54.9
39.68, 15.2
44.77, 11.5
46.83, 20.3
56.50, 23.2
57.81, 38.4
66.79, 14.1

Structure:
```
NaSnHg2F
1.0
5.4875 0.0000 0.0000
0.0000 5.4875 0.0000
0.0000 0.0000 4.0483
Na Sn Hg F
1 1 2 1
Direct
0.0000 0.0000 0.0000
0.5000 0.5000 0.0000
0.0000 0.5000 0.5000
0.5000 0.0000 0.5000
0.0000 0.0000 0.5000
```


No. 9
Structure and calculated powder diffractogram of Cs5KRb2S (a GGA-PBE-relaxed structure; Cu Kα (weighted mean of Kα1 and Kα2)).
Intensities are scaled so that the largest is 100.

The 10 most intense peaks (2θ from 10° to 90°), in order of rising 2θ:
2θ (°), I (rel.)
10.46, 16.8
21.01, 100.0
24.27, 41.1
24.38, 20.2
34.65, 44.8
40.83, 30.3
40.96, 14.9
42.78, 15.2
54.67, 11.0
56.11, 11.9

Structure:
```
Cs5KRb2S
1.0
-5.1854 5.1854 7.3022
5.1854 -5.1854 7.3022
5.1854 5.1854 -7.3022
Cs K Rb S
5 1 2 1
Direct
0.0000 0.0000 0.0000
0.0020 0.0020 0.4624
0.0020 0.5396 0.0000
0.5396 0.0020 0.0000
0.5396 0.5396 0.5376
0.5549 0.5549 0.0000
0.0210 0.5210 0.5000
0.5210 0.0210 0.5000
0.7689 0.7689 0.0000
```


No. 10
Structure and calculated powder diffractogram of LiSmSiRh (a GGA-PBE-relaxed structure; Cu Kα (weighted mean of Kα1 and Kα2)).
Intensities are scaled so that the largest is 100.

The 10 most intense peaks (2θ from 10° to 90°), in order of rising 2θ:
2θ (°), I (rel.)
23.73, 73.3
27.47, 7.0
39.24, 100.0
46.37, 37.1
56.69, 16.9
62.32, 15.2
71.11, 34.1
76.16, 11.2
84.36, 10.9
89.22, 11.7

Structure:
```
LiSmSiRh
1.0
0.0000 3.2473 3.2473
3.2473 0.0000 3.2473
3.2473 3.2473 0.0000
Li Sm Si Rh
1 1 1 1
Direct
0.0000 0.0000 0.0000
0.2500 0.2500 0.2500
0.7500 0.7500 0.7500
0.5000 0.5000 0.5000
```


No. 11
Structure and calculated powder diffractogram of Ho12ZrNi6 (a GGA-PBE-relaxed structure; Cu Kα (weighted mean of Kα1 and Kα2)).
Intensities are scaled so that the largest is 100.

The 10 most intense peaks (2θ from 10° to 90°), in order of rising 2θ:
2θ (°), I (rel.)
29.13, 45.3
31.98, 34.6
34.62, 100.0
47.85, 18.2
55.26, 36.1
57.00, 13.9
58.72, 32.8
68.44, 15.9
84.88, 15.3
86.34, 16.1

Structure:
```
Ho12ZrNi6
1.0
-4.8466 4.8466 4.8466
4.8466 -4.8466 4.8466
4.8466 4.8466 -4.8466
Ho Zr Ni
12 1 6
Direct
0.1205 0.8164 0.3042
0.1836 0.3042 0.4878
0.1836 0.6958 0.8795
0.3042 0.1205 0.8164
0.3042 0.4878 0.1836
0.4878 0.1836 0.3042
0.5122 0.8164 0.6958
0.6958 0.5122 0.8164
0.6958 0.8795 0.1836
0.8164 0.3042 0.1205
0.8164 0.6958 0.5122
0.8795 0.1836 0.6958
0.0000 0.0000 0.0000
0.1241 0.6241 0.5000
0.3759 0.5000 0.8759
0.5000 0.1241 0.6241
0.5000 0.8759 0.3759
0.6241 0.5000 0.1241
0.8759 0.3759 0.5000
```